1.
Starting from a cell relaxed with PBE, the powder diffraction line list of LiTm2Ir was computed for Cu Kα (λ = 1.5418 Å).
Intensities are scaled so that the largest is 100.

Principal peaks in the range 10° ≤ 2θ ≤ 90°, sorted by position:
- d = 3.961 Å, 2θ = 22.44°, intensity 29, (1 1 1)
- d = 3.431 Å, 2θ = 25.97°, intensity 9, (2 0 0)
- d = 2.426 Å, 2θ = 37.06°, intensity 100, (2 2 0)
- d = 2.069 Å, 2θ = 43.76°, intensity 15, (3 1 1)
- d = 1.715 Å, 2θ = 53.41°, intensity 18, (4 0 0)
- d = 1.574 Å, 2θ = 58.65°, intensity 6, (3 3 1)
- d = 1.401 Å, 2θ = 66.79°, intensity 36, (4 2 2)
- d = 1.320 Å, 2θ = 71.44°, intensity 5, (5 1 1)
- d = 1.213 Å, 2θ = 78.93°, intensity 11, (4 4 0)
- d = 1.160 Å, 2θ = 83.32°, intensity 5, (5 3 1)

Crystal structure
```
data_LiTm2Ir
_chemical_formula_sum 'Li4 Tm8 Ir4'
_symmetry_space_group_name_H-M 'F m -3 m'
_symmetry_Int_Tables_number 225
_symmetry_space_group_name_Hall '-F 4 2 3'
_cell_length_a 6.8615
_cell_length_b 6.8615
_cell_length_c 6.8615
_cell_angle_alpha 90.00
_cell_angle_beta 90.00
_cell_angle_gamma 90.00
loop_
_atom_site_label
_atom_site_fract_x
_atom_site_fract_y
_atom_site_fract_z
Li1 0.0000 0.0000 0.0000
Tm1 0.2500 0.2500 0.2500
Ir1 0.0000 0.0000 0.5000
```

***

2.
Starting from a cell relaxed with PBE, the powder diffraction line list of LiVIr2 was computed for Cu Kα (λ = 1.5418 Å).
Intensities are scaled so that the largest is 100.

Principal peaks in the range 10° ≤ 2θ ≤ 90°, sorted by position:
- d = 3.425 Å, 2θ = 26.01°, intensity 3, (1 1 1)
- d = 2.966 Å, 2θ = 30.13°, intensity 73, (2 0 0)
- d = 2.098 Å, 2θ = 43.13°, intensity 100, (2 2 0)
- d = 1.789 Å, 2θ = 51.06°, intensity 1, (3 1 1)
- d = 1.713 Å, 2θ = 53.50°, intensity 20, (2 2 2)
- d = 1.483 Å, 2θ = 62.63°, intensity 17, (4 0 0)
- d = 1.327 Å, 2θ = 71.06°, intensity 27, (4 2 0)
- d = 1.211 Å, 2θ = 79.07°, intensity 34, (4 2 2)

Crystal structure
```
data_LiVIr2
_chemical_formula_sum 'Li4 V4 Ir8'
_symmetry_space_group_name_H-M 'F m -3 m'
_symmetry_Int_Tables_number 225
_symmetry_space_group_name_Hall '-F 4 2 3'
_cell_length_a 5.9328
_cell_length_b 5.9328
_cell_length_c 5.9328
_cell_angle_alpha 90.00
_cell_angle_beta 90.00
_cell_angle_gamma 90.00
loop_
_atom_site_label
_atom_site_fract_x
_atom_site_fract_y
_atom_site_fract_z
Li1 0.0000 0.0000 0.0000
V1 0.0000 0.0000 0.5000
Ir1 0.2500 0.2500 0.2500
```

***

3.
Starting from a cell relaxed with PBE, the powder diffraction line list of LiY2Ir was computed for Cu Kα (λ = 1.5418 Å).
Intensities are scaled so that the largest is 100.

Principal peaks in the range 10° ≤ 2θ ≤ 90°, sorted by position:
- d = 4.030 Å, 2θ = 22.05°, intensity 57, (1 1 1)
- d = 2.468 Å, 2θ = 36.40°, intensity 100, (2 2 0)
- d = 2.105 Å, 2θ = 42.97°, intensity 30, (3 1 1)
- d = 1.745 Å, 2θ = 52.43°, intensity 17, (4 0 0)
- d = 1.602 Å, 2θ = 57.55°, intensity 13, (3 3 1)
- d = 1.425 Å, 2θ = 65.50°, intensity 35, (4 2 2)
- d = 1.343 Å, 2θ = 70.03°, intensity 10, (5 1 1)
- d = 1.234 Å, 2θ = 77.32°, intensity 11, (4 4 0)
- d = 1.180 Å, 2θ = 81.59°, intensity 10, (5 3 1)
- d = 1.104 Å, 2θ = 88.60°, intensity 16, (6 2 0)

Crystal structure
```
data_LiY2Ir
_chemical_formula_sum 'Li4 Y8 Ir4'
_symmetry_space_group_name_H-M 'F m -3 m'
_symmetry_Int_Tables_number 225
_symmetry_space_group_name_Hall '-F 4 2 3'
_cell_length_a 6.9809
_cell_length_b 6.9809
_cell_length_c 6.9809
_cell_angle_alpha 90.00
_cell_angle_beta 90.00
_cell_angle_gamma 90.00
loop_
_atom_site_label
_atom_site_fract_x
_atom_site_fract_y
_atom_site_fract_z
Li1 0.0000 0.0000 0.0000
Y1 0.2500 0.2500 0.2500
Ir1 0.0000 0.0000 0.5000
```

***

4.
Starting from a cell relaxed with PBE, the powder diffraction line list of LiZn2Ir was computed for Cu Kα (λ = 1.5418 Å).
Intensities are scaled so that the largest is 100.

Principal peaks in the range 10° ≤ 2θ ≤ 90°, sorted by position:
- d = 3.495 Å, 2θ = 25.48°, intensity 75, (1 1 1)
- d = 3.027 Å, 2θ = 29.51°, intensity 3, (2 0 0)
- d = 2.140 Å, 2θ = 42.22°, intensity 100, (2 2 0)
- d = 1.825 Å, 2θ = 49.96°, intensity 37, (3 1 1)
- d = 1.748 Å, 2θ = 52.35°, intensity 1, (2 2 2)
- d = 1.514 Å, 2θ = 61.24°, intensity 16, (4 0 0)
- d = 1.389 Å, 2θ = 67.43°, intensity 15, (3 3 1)
- d = 1.354 Å, 2θ = 69.43°, intensity 1, (4 2 0)
- d = 1.236 Å, 2θ = 77.19°, intensity 33, (4 2 2)
- d = 1.165 Å, 2θ = 82.86°, intensity 12, (5 1 1)

Crystal structure
```
data_LiZn2Ir
_chemical_formula_sum 'Li4 Zn8 Ir4'
_symmetry_space_group_name_H-M 'F m -3 m'
_symmetry_Int_Tables_number 225
_symmetry_space_group_name_Hall '-F 4 2 3'
_cell_length_a 6.0541
_cell_length_b 6.0541
_cell_length_c 6.0541
_cell_angle_alpha 90.00
_cell_angle_beta 90.00
_cell_angle_gamma 90.00
loop_
_atom_site_label
_atom_site_fract_x
_atom_site_fract_y
_atom_site_fract_z
Li1 0.0000 0.0000 0.0000
Zn1 0.2500 0.2500 0.2500
Ir1 0.0000 0.0000 0.5000
```

***

5.
Starting from a cell relaxed with PBE, the powder diffraction line list of LuIr2 was computed for Cu Kα (λ = 1.5418 Å).
Intensities are scaled so that the largest is 100.

Principal peaks in the range 10° ≤ 2θ ≤ 90°, sorted by position:
- d = 4.340 Å, 2θ = 20.46°, intensity 8, (1 1 1)
- d = 2.658 Å, 2θ = 33.72°, intensity 24, (2 2 0)
- d = 2.267 Å, 2θ = 39.77°, intensity 100, (3 1 1)
- d = 2.170 Å, 2θ = 41.62°, intensity 43, (2 2 2)
- d = 1.879 Å, 2θ = 48.43°, intensity 6, (4 0 0)
- d = 1.535 Å, 2θ = 60.32°, intensity 9, (4 2 2)
- d = 1.447 Å, 2θ = 64.40°, intensity 33, (5 1 1)
- d = 1.329 Å, 2θ = 70.92°, intensity 29, (4 4 0)
- d = 1.146 Å, 2θ = 84.51°, intensity 12, (5 3 3)
- d = 1.133 Å, 2θ = 85.72°, intensity 17, (6 2 2)

Crystal structure
a b c (Å): 7.5176 7.5176 7.5176
angles (deg): 90.00 90.00 90.00
Space group Fd-3m (No. 227, origin choice 2)
Symmetry-distinct sites (fractional):
Lu (0.1250, 0.1250, 0.1250)
Ir (0.0000, 0.0000, 0.5000)

***

6.
Starting from a cell relaxed with PBE, the powder diffraction line list of Lu4Ir was computed for Cu Kα (λ = 1.5418 Å).
Intensities are scaled so that the largest is 100.

Principal peaks in the range 10° ≤ 2θ ≤ 90°, sorted by position:
- d = 3.757 Å, 2θ = 23.68°, intensity 25, (2 2 0)
- d = 3.067 Å, 2θ = 29.11°, intensity 100, (2 2 2)
- d = 2.656 Å, 2θ = 33.74°, intensity 25, (4 0 0)
- d = 2.438 Å, 2θ = 36.87°, intensity 28, (3 3 1)
- d = 2.045 Å, 2θ = 44.30°, intensity 26, (5 1 1)
- d = 1.878 Å, 2θ = 48.46°, intensity 55, (4 4 0)
- d = 1.602 Å, 2θ = 57.54°, intensity 35, (6 2 2)
- d = 1.488 Å, 2θ = 62.42°, intensity 9, (7 1 1)
- d = 1.298 Å, 2θ = 72.87°, intensity 12, (7 3 3)
- d = 1.219 Å, 2θ = 78.47°, intensity 11, (6 6 2)

Crystal structure
a b c (Å): 10.6252 10.6252 10.6252
angles (deg): 90.00 90.00 90.00
Space group Fd-3m (No. 227, origin choice 2)
Symmetry-distinct sites (fractional):
Lu (0.0139, 0.0139, 0.2361)
Ir (0.1250, 0.1250, 0.6250)